(1)
This entry pairs a crystal structure of Tl7Hg4Pb with its calculated powder XRD pattern. Radiation: Cu Kα (weighted mean of Kα1 and Kα2). Structure: DFT lattice parameters and positions (PBE).
Kinematic intensities with the Lorentz-polarization factor, no thermal factor.

Top 10 peaks for 5° ≤ 2θ ≤ 70°, by angle:
h k l  2θ (°)  I (rel.)
1 0 4  30.0  100.0
0 0 12  36.2  18.8
0 1 8  36.7  57.3
1 1 0  48.6  27.8
1 0 16  57.0  14.6
0 2 4  58.2  16.0
1 0 17  60.0  1.8
1 1 12  62.0  24.2
2 0 8  62.4  12.6
0 1 20  69.4  7.3

Atomic structure:
```
data_Tl7Hg4Pb
_chemical_formula_sum 'Tl7 Hg4 Pb1'
_cell_length_a 3.7484
_cell_length_b 3.7484
_cell_length_c 29.7917
_cell_angle_alpha 90.00
_cell_angle_beta 90.00
_cell_angle_gamma 120.00
_symmetry_space_group_name_H-M 'P -3 m 1'
_symmetry_Int_Tables_number 164
_symmetry_space_group_name_Hall '-P 3 2"'
loop_
_atom_site_label
_atom_site_type_symbol
_atom_site_fract_x
_atom_site_fract_y
_atom_site_fract_z
_atom_site_occupancy
Tl1 Tl 0.0000 0.0000 0.0000 1
Tl2 Tl 0.0000 0.0000 0.2494 1
Tl3 Tl 0.3333 0.6667 0.1603 1
Tl4 Tl 0.3333 0.6667 0.4109 1
Hg1 Hg 0.3333 0.6667 0.6711 1
Hg2 Hg 0.3333 0.6667 0.9195 1
Pb1 Pb 0.0000 0.0000 0.5000 1
```



(2)
This entry pairs a crystal structure of Tb2DyErP4 with its calculated powder XRD pattern. Radiation: Cu Kα (weighted mean of Kα1 and Kα2). Structure: DFT lattice parameters and positions (PBE).
Kinematic intensities with the Lorentz-polarization factor, no thermal factor.

Top 6 peaks for 5° ≤ 2θ ≤ 70°, by angle:
h k l  2θ (°)  I (rel.)
2 0 0  27.3  87.3
1 1 1  31.6  100.0
2 0 2  45.2  73.1
3 1 1  53.6  42.6
4 0 0  56.2  25.5
2 2 2  65.9  11.8

Atomic structure:
```
data_Tb2DyErP4
_chemical_formula_sum 'Tb2 Dy1 Er1 P4'
_cell_length_a 6.940
_cell_length_b 4.010
_cell_length_c 6.941
_cell_angle_alpha 90.00
_cell_angle_beta 109.47
_cell_angle_gamma 90.00
_symmetry_space_group_name_H-M 'P 1 2/m 1'
_symmetry_Int_Tables_number 10
_symmetry_space_group_name_Hall '-P 2y'
loop_
_atom_site_label
_atom_site_type_symbol
_atom_site_fract_x
_atom_site_fract_y
_atom_site_fract_z
_atom_site_occupancy
Tb1 Tb 0.000 0.000 0.000 1
Tb2 Tb 0.000 0.500 0.500 1
Dy1 Dy 0.500 0.000 0.500 1
Er1 Er 0.500 0.500 0.000 1
P1 P 0.252 0.500 0.250 1
P2 P 0.253 0.000 0.752 1
```



(3)
This entry pairs a crystal structure of Rb2InSn3Pb4 with its calculated powder XRD pattern. Radiation: Cu Kα (weighted mean of Kα1 and Kα2). Structure: DFT lattice parameters and positions (PBE).
Kinematic intensities with the Lorentz-polarization factor, no thermal factor.

Top 10 peaks for 5° ≤ 2θ ≤ 70°, by angle:
h k l  2θ (°)  I (rel.)
0 0 2  12.9  31.6
1 0 1  18.3  31.2
1 0 3  26.0  50.3
1 1 2  27.6  100.0
2 0 0  34.6  78.3
1 1 4  35.8  82.4
1 0 5  37.0  42.1
2 1 5  51.6  28.8
3 1 4  62.9  33.5
2 0 8  65.2  29.3

Atomic structure:
```
data_Rb2InSn3Pb4
_chemical_formula_sum 'Rb2 In1 Sn3 Pb4'
_cell_length_a 5.179
_cell_length_b 5.179
_cell_length_c 13.748
_cell_angle_alpha 90.00
_cell_angle_beta 90.00
_cell_angle_gamma 90.00
_symmetry_space_group_name_H-M 'P -4 m 2'
_symmetry_Int_Tables_number 115
_symmetry_space_group_name_Hall 'P -4 -2'
loop_
_atom_site_label
_atom_site_type_symbol
_atom_site_fract_x
_atom_site_fract_y
_atom_site_fract_z
_atom_site_occupancy
Rb1 Rb 0.000 0.500 0.248 1
In1 In 0.500 0.500 0.000 1
Sn1 Sn 0.000 0.000 0.000 1
Sn2 Sn 0.000 0.500 0.631 1
Pb1 Pb 0.000 0.000 0.500 1
Pb2 Pb 0.000 0.500 0.867 1
Pb3 Pb 0.500 0.500 0.500 1
```



(4)
This entry pairs a crystal structure of Mg10Cd3Hg3 with its calculated powder XRD pattern. Radiation: Cu Kα (weighted mean of Kα1 and Kα2). Structure: DFT lattice parameters and positions (PBE).
Kinematic intensities with the Lorentz-polarization factor, no thermal factor.

Top 10 peaks for 5° ≤ 2θ ≤ 70°, by angle:
h k l  2θ (°)  I (rel.)
1 0 0  12.2  22.6
1 1 0  21.2  38.2
2 0 0  24.5  17.8
1 1 1  26.1  100.0
0 0 2  30.6  29.7
2 1 1  36.1  56.2
3 0 0  37.1  30.8
1 1 2  37.5  38.9
2 0 2  39.6  17.7
3 1 1  47.7  39.2

Atomic structure:
```
data_Mg10Cd3Hg3
_chemical_formula_sum 'Mg10 Cd3 Hg3'
_cell_length_a 8.3996
_cell_length_b 8.3996
_cell_length_c 5.8443
_cell_angle_alpha 90.00
_cell_angle_beta 90.00
_cell_angle_gamma 120.00
_symmetry_space_group_name_H-M 'P -6 2 m'
_symmetry_Int_Tables_number 189
_symmetry_space_group_name_Hall 'P -6 -2'
loop_
_atom_site_label
_atom_site_type_symbol
_atom_site_fract_x
_atom_site_fract_y
_atom_site_fract_z
_atom_site_occupancy
Mg1 Mg 0.0000 0.2511 0.0000 1
Mg2 Mg 0.0000 0.7536 0.5000 1
Mg3 Mg 0.3333 0.6667 0.2483 1
Cd1 Cd 0.0000 0.3934 0.5000 1
Hg1 Hg 0.0000 0.6100 0.0000 1
```



(5)
This entry pairs a crystal structure of AcInBi3 with its calculated powder XRD pattern. Radiation: Cu Kα (weighted mean of Kα1 and Kα2). Structure: DFT lattice parameters and positions (PBE).
Kinematic intensities with the Lorentz-polarization factor, no thermal factor.

Top 10 peaks for 5° ≤ 2θ ≤ 70°, by angle:
h k l  2θ (°)  I (rel.)
2 0 2  28.8  62.8
5 0 0  29.2  81.6
2 2 0  29.5  100.0
3 0 2  31.7  49.7
2 1 2  31.9  36.1
3 2 0  32.3  67.1
3 1 2  34.6  29.9
5 1 1  34.9  30.0
0 2 2  38.1  46.2
1 2 2  38.5  39.0

Atomic structure:
```
data_AcInBi3
_chemical_formula_sum 'Ac4 In4 Bi12'
_cell_length_a 15.311
_cell_length_b 6.598
_cell_length_c 6.775
_cell_angle_alpha 90.00
_cell_angle_beta 90.00
_cell_angle_gamma 90.00
_symmetry_space_group_name_H-M 'P b c m'
_symmetry_Int_Tables_number 57
_symmetry_space_group_name_Hall '-P 2c 2b'
loop_
_atom_site_label
_atom_site_type_symbol
_atom_site_fract_x
_atom_site_fract_y
_atom_site_fract_z
_atom_site_occupancy
Ac1 Ac 0.178 0.000 0.250 1
In1 In 0.393 0.250 0.000 1
Bi1 Bi 0.001 0.250 0.000 1
Bi2 Bi 0.231 0.504 0.250 1
Bi3 Bi 0.405 0.731 0.750 1
```



(6)
This entry pairs a crystal structure of CuPRu with its calculated powder XRD pattern. Radiation: Cu Kα (weighted mean of Kα1 and Kα2). Structure: DFT lattice parameters and positions (PBE).
Kinematic intensities with the Lorentz-polarization factor, no thermal factor.

Top 10 peaks for 5° ≤ 2θ ≤ 70°, by angle:
h k l  2θ (°)  I (rel.)
0 1 0  16.4  32.6
1 0 1  31.9  51.6
0 2 0  33.2  19.7
1 1 1  36.1  100.0
1 2 0  41.4  40.8
0 1 2  45.5  52.5
1 2 1  46.7  50.9
2 0 0  49.2  31.7
1 1 2  52.1  22.0
2 1 2  69.2  28.3

Atomic structure:
```
data_CuPRu
_chemical_formula_sum 'Cu2 P2 Ru2'
_cell_length_a 3.704
_cell_length_b 5.397
_cell_length_c 4.291
_cell_angle_alpha 90.00
_cell_angle_beta 90.00
_cell_angle_gamma 90.00
_symmetry_space_group_name_H-M 'P m n 21'
_symmetry_Int_Tables_number 31
_symmetry_space_group_name_Hall 'P 2ac -2'
loop_
_atom_site_label
_atom_site_type_symbol
_atom_site_fract_x
_atom_site_fract_y
_atom_site_fract_z
_atom_site_occupancy
Cu1 Cu 0.000 0.090 0.000 1
P1 P 0.000 0.720 0.771 1
Ru1 Ru 0.000 0.541 0.261 1
```



(7)
This entry pairs a crystal structure of Pr2HoThTe5 with its calculated powder XRD pattern. Radiation: Cu Kα (weighted mean of Kα1 and Kα2). Structure: DFT lattice parameters and positions (PBE).
Kinematic intensities with the Lorentz-polarization factor, no thermal factor.

Top 10 peaks for 5° ≤ 2θ ≤ 70°, by angle:
h k l  2θ (°)  I (rel.)
0 0 1  7.5  42.0
0 0 2  15.0  29.5
1 1 0  22.9  92.5
0 0 4  30.2  24.7
1 1 3  32.4  61.0
2 0 0  32.6  100.0
1 0 4  34.5  50.1
2 0 4  45.1  33.1
2 2 0  46.8  36.6
2 1 4  48.2  39.3

Atomic structure:
```
data_Pr2HoThTe5
_chemical_formula_sum 'Pr2 Ho1 Th1 Te5'
_cell_length_a 5.491
_cell_length_b 5.491
_cell_length_c 11.824
_cell_angle_alpha 90.00
_cell_angle_beta 90.00
_cell_angle_gamma 90.00
_symmetry_space_group_name_H-M 'P 4/m m m'
_symmetry_Int_Tables_number 123
_symmetry_space_group_name_Hall '-P 4 2'
loop_
_atom_site_label
_atom_site_type_symbol
_atom_site_fract_x
_atom_site_fract_y
_atom_site_fract_z
_atom_site_occupancy
Pr1 Pr 0.000 0.000 0.159 1
Ho1 Ho 0.500 0.500 0.000 1
Th1 Th 0.500 0.500 0.500 1
Te1 Te 0.000 0.000 0.500 1
Te2 Te 0.000 0.500 0.000 1
Te3 Te 0.500 0.500 0.252 1
```



(8)
This entry pairs a crystal structure of BaGeS2 with its calculated powder XRD pattern. Radiation: Cu Kα (weighted mean of Kα1 and Kα2). Structure: DFT lattice parameters and positions (PBE).
Kinematic intensities with the Lorentz-polarization factor, no thermal factor.

Top 10 peaks for 5° ≤ 2θ ≤ 70°, by angle:
h k l  2θ (°)  I (rel.)
0 1 0  13.1  30.8
1 0 -1  21.9  24.7
1 1 1  22.4  100.0
-1 1 1  23.0  32.9
0 0 2  23.3  78.1
0 2 0  26.5  24.5
-1 2 1  30.6  53.4
1 1 3  36.5  42.9
1 2 -1  38.2  24.4
-1 2 3  39.3  47.1

Atomic structure:
```
data_BaGeS2
_chemical_formula_sum 'Ba2 Ge2 S4'
_cell_length_a 4.863
_cell_length_b 7.434
_cell_length_c 8.445
_cell_angle_alpha 64.92
_cell_angle_beta 88.50
_cell_angle_gamma 88.87
_symmetry_space_group_name_H-M 'P -1'
_symmetry_Int_Tables_number 2
_symmetry_space_group_name_Hall '-P 1'
loop_
_atom_site_label
_atom_site_type_symbol
_atom_site_fract_x
_atom_site_fract_y
_atom_site_fract_z
_atom_site_occupancy
Ba1 Ba 0.246 0.465 0.260 1
Ge1 Ge 0.028 0.016 0.842 1
S1 S 0.244 0.744 0.843 1
S2 S 0.268 0.291 0.675 1
```



(9)
This entry pairs a crystal structure of Dy4Er3Th2 with its calculated powder XRD pattern. Radiation: Cu Kα (weighted mean of Kα1 and Kα2). Structure: DFT lattice parameters and positions (PBE).
Kinematic intensities with the Lorentz-polarization factor, no thermal factor.

Top 10 peaks for 5° ≤ 2θ ≤ 70°, by angle:
h k l  2θ (°)  I (rel.)
1 0 0  29.1  47.6
0 0 9  30.6  45.3
1 0 3  30.9  12.7
1 0 4  32.2  55.9
0 1 5  33.8  100.0
0 1 9  42.7  29.8
1 1 0  51.6  36.2
0 1 14  57.5  32.6
1 1 9  61.2  38.5
2 0 5  63.1  16.8

Atomic structure:
```
data_Dy4Er3Th2
_chemical_formula_sum 'Dy4 Er3 Th2'
_cell_length_a 3.5431
_cell_length_b 3.5431
_cell_length_c 26.3058
_cell_angle_alpha 90.00
_cell_angle_beta 90.00
_cell_angle_gamma 120.00
_symmetry_space_group_name_H-M 'P 3 m 1'
_symmetry_Int_Tables_number 156
_symmetry_space_group_name_Hall 'P 3 -2"'
loop_
_atom_site_label
_atom_site_type_symbol
_atom_site_fract_x
_atom_site_fract_y
_atom_site_fract_z
_atom_site_occupancy
Dy1 Dy 0.0000 0.0000 0.0000 1
Dy2 Dy 0.0000 0.0000 0.2137 1
Dy3 Dy 0.3333 0.6667 0.3223 1
Dy4 Dy 0.3333 0.6667 0.5380 1
Er1 Er 0.0000 0.0000 0.4297 1
Er2 Er 0.3333 0.6667 0.1058 1
Er3 Er 0.3333 0.6667 0.7602 1
Th1 Th 0.0000 0.0000 0.6488 1
Th2 Th 0.0000 0.0000 0.8705 1
```



(10)
This entry pairs a crystal structure of N with its calculated powder XRD pattern. Radiation: Cu Kα (weighted mean of Kα1 and Kα2). Structure: DFT lattice parameters and positions (PBE).
Kinematic intensities with the Lorentz-polarization factor, no thermal factor.

Top 10 peaks for 5° ≤ 2θ ≤ 70°, by angle:
h k l  2θ (°)  I (rel.)
1 0 1  26.1  81.6
0 1 1  26.4  86.6
0 1 -1  26.8  91.1
1 0 -1  27.8  100.0
1 1 0  30.3  47.6
0 0 2  30.6  78.4
1 -1 0  32.1  33.2
1 1 -2  44.9  16.4
-1 1 2  45.8  10.8
1 0 -3  53.5  11.7

Atomic structure:
```
data_N
_chemical_formula_sum 'N4'
_cell_length_a 4.027
_cell_length_b 4.094
_cell_length_c 5.864
_cell_angle_alpha 88.98
_cell_angle_beta 86.29
_cell_angle_gamma 86.66
_symmetry_space_group_name_H-M 'P -1'
_symmetry_Int_Tables_number 2
_symmetry_space_group_name_Hall '-P 1'
loop_
_atom_site_label
_atom_site_type_symbol
_atom_site_fract_x
_atom_site_fract_y
_atom_site_fract_z
_atom_site_occupancy
N1 N 0.083 0.091 0.031 1
N2 N 0.407 0.601 0.482 1
```



(11)
This entry pairs a crystal structure of LiAc2Ge3Au12 with its calculated powder XRD pattern. Radiation: Cu Kα (weighted mean of Kα1 and Kα2). Structure: DFT lattice parameters and positions (PBE).
Kinematic intensities with the Lorentz-polarization factor, no thermal factor.

Top 10 peaks for 5° ≤ 2θ ≤ 70°, by angle:
h k l  2θ (°)  I (rel.)
0 2 1  22.7  26.5
2 0 2  24.3  24.9
0 2 4  29.9  58.8
0 0 6  30.0  25.4
2 0 5  33.6  32.2
1 1 6  35.8  21.1
2 2 0  38.9  100.0
0 2 7  41.9  19.6
2 2 6  49.8  50.0
2 0 11  61.5  21.9

Atomic structure:
```
data_LiAc2Ge3Au12
_chemical_formula_sum 'Li3 Ac6 Ge9 Au36'
_cell_length_a 9.2676
_cell_length_b 9.2676
_cell_length_c 17.8799
_cell_angle_alpha 90.00
_cell_angle_beta 90.00
_cell_angle_gamma 120.00
_symmetry_space_group_name_H-M 'R -3 m'
_symmetry_Int_Tables_number 166
_symmetry_space_group_name_Hall '-R 3 2"'
loop_
_atom_site_label
_atom_site_type_symbol
_atom_site_fract_x
_atom_site_fract_y
_atom_site_fract_z
_atom_site_occupancy
Li1 Li 0.0000 0.0000 0.0000 1
Ac1 Ac 0.0000 0.0000 0.3874 1
Ge1 Ge 0.0000 0.5000 0.5000 1
Au1 Au 0.0044 0.5022 0.6427 1
Au2 Au 0.0152 0.5076 0.8229 1
```



(12)
This entry pairs a crystal structure of Ce2SeCl2 with its calculated powder XRD pattern. Radiation: Cu Kα (weighted mean of Kα1 and Kα2). Structure: DFT lattice parameters and positions (PBE).
Kinematic intensities with the Lorentz-polarization factor, no thermal factor.

Top 10 peaks for 5° ≤ 2θ ≤ 70°, by angle:
h k l  2θ (°)  I (rel.)
0 0 1  8.9  100.0
1 1 1  26.4  36.1
2 0 -2  30.7  37.7
1 1 2  30.8  69.6
1 1 -3  36.9  11.7
2 0 3  37.1  11.0
3 1 0  43.7  37.9
1 1 -4  44.4  24.9
2 0 4  44.6  13.3
2 2 -2  54.4  13.4

Atomic structure:
```
data_Ce2SeCl2
_chemical_formula_sum 'Ce4 Se2 Cl4'
_cell_length_a 7.169
_cell_length_b 4.138
_cell_length_c 9.918
_cell_angle_alpha 90.00
_cell_angle_beta 90.36
_cell_angle_gamma 90.00
_symmetry_space_group_name_H-M 'C 1 2/m 1'
_symmetry_Int_Tables_number 12
_symmetry_space_group_name_Hall '-C 2y'
loop_
_atom_site_label
_atom_site_type_symbol
_atom_site_fract_x
_atom_site_fract_y
_atom_site_fract_z
_atom_site_occupancy
Ce1 Ce 0.168 0.000 0.168 1
Se1 Se 0.000 0.500 0.000 1
Cl1 Cl 0.164 0.000 0.666 1
```



(13)
This entry pairs a crystal structure of Na8Al3Ga3Si6Cl2O24 with its calculated powder XRD pattern. Radiation: Cu Kα (weighted mean of Kα1 and Kα2). Structure: DFT lattice parameters and positions (PBE).
Kinematic intensities with the Lorentz-polarization factor, no thermal factor.

Top 10 peaks for 5° ≤ 2θ ≤ 70°, by angle:
h k l  2θ (°)  I (rel.)
1 1 0  13.9  46.0
2 0 2  19.7  8.8
1 2 2  24.2  100.0
3 -1 4  31.4  14.1
0 4 2  34.5  26.3
2 -1 6  37.4  31.7
5 -2 4  42.6  21.2
4 4 0  57.9  17.4
6 0 6  61.8  10.2
3 -1 10  63.7  14.0

Atomic structure:
```
data_Na8Al3Ga3Si6Cl2O24
_chemical_formula_sum 'Na24 Al9 Ga9 Si18 Cl6 O72'
_cell_length_a 12.7329
_cell_length_b 12.7329
_cell_length_c 15.5885
_cell_angle_alpha 90.00
_cell_angle_beta 90.00
_cell_angle_gamma 120.00
_symmetry_space_group_name_H-M 'R 3'
_symmetry_Int_Tables_number 146
_symmetry_space_group_name_Hall 'R 3'
loop_
_atom_site_label
_atom_site_type_symbol
_atom_site_fract_x
_atom_site_fract_y
_atom_site_fract_z
_atom_site_occupancy
Na1 Na 0.0000 0.0000 0.0000 1
Na2 Na 0.0000 0.0000 0.4990 1
Na3 Na 0.1000 0.5554 0.3973 1
Na4 Na 0.1015 0.5559 0.9013 1
Al1 Al 0.0856 0.6685 0.5926 1
Ga1 Ga 0.0014 0.2520 0.4227 1
Si1 Si 0.0016 0.2487 0.9228 1
Si2 Si 0.0820 0.6681 0.0924 1
Cl1 Cl 0.0000 0.0000 0.1750 1
Cl2 Cl 0.0000 0.0000 0.6731 1
O1 O 0.0004 0.7085 0.3256 1
O2 O 0.0030 0.2782 0.8199 1
O3 O 0.0438 0.6711 0.4853 1
O4 O 0.0445 0.3760 0.9752 1
O5 O 0.0853 0.8954 0.4331 1
O6 O 0.0932 0.1942 0.9358 1
O7 O 0.1829 0.8035 0.1274 1
O8 O 0.1867 0.3874 0.6250 1
```